Entry 1:
The following is a simulated X-ray powder pattern of KTeCO5. It was derived from a PBE-relaxed structure, using λ = 1.5418 Å (Cu Kα).
Kinematic intensities with the Lorentz-polarization factor, no thermal factor.

Principal peaks in the range 2θ = 15–90°, by angle:
h k l	2θ (°)	intensity
1 1 -1	17.7	100
0 2 0	20.0	28
1 1 1	26.0	93
2 0 -2	29.5	50
1 3 -1	33.6	55
0 2 2	34.0	42
2 2 0	35.5	17
1 1 -3	38.4	15
3 1 -1	41.0	25
2 4 0	50.6	25

Crystal structure
Cell lengths 6.906, 8.901, 7.343 Å; angles 90.00, 117.15, 90.00 degrees
Space group C2/c (No. 15)
Asymmetric unit:
K  0.000  0.097  0.250
Te  0.250  0.250  0.000
C  0.000  0.442  0.250
O  0.000  0.177  0.750
O  0.013  0.350  0.096
O  0.195  0.472  0.851

=====

Entry 2:
The following is a simulated X-ray powder pattern of KTl2C2O6. It was derived from a PBE-relaxed structure, using λ = 1.5418 Å (Cu Kα).
Kinematic intensities with the Lorentz-polarization factor, no thermal factor.

Principal peaks in the range 2θ = 15–90°, by angle:
h k l	2θ (°)	intensity
2 0 0	19.7	54
1 1 1	24.5	15
2 0 1	27.6	100
0 2 0	31.2	62
0 2 1	33.7	35
2 0 -3	34.6	17
2 2 0	37.2	26
4 0 -3	42.2	30
1 1 3	46.4	22
4 2 -3	53.4	15

Crystal structure
Cell lengths 9.921, 5.730, 7.836 Å; angles 90.00, 115.13, 90.00 degrees
Space group C2/m (No. 12)
Asymmetric unit:
K  0.000  0.000  0.000
Tl  0.205  0.000  0.613
C  0.080  0.500  0.740
O  0.015  0.305  0.740
O  0.210  0.500  0.738

=====

Entry 3:
The following is a simulated X-ray powder pattern of K2TmC2O6. It was derived from a PBE-relaxed structure, using λ = 1.5418 Å (Cu Kα).
Kinematic intensities with the Lorentz-polarization factor, no thermal factor.

Principal peaks in the range 2θ = 15–90°, by angle:
h k l	2θ (°)	intensity
1 0 0	18.9	28
0 1 1	22.1	100
1 0 2	29.6	84
1 1 0	33.1	36
1 1 1	35.0	20
2 0 1	40.1	25
2 0 2	45.0	24
1 1 3	48.3	24
1 2 1	52.9	27
2 1 2	57.0	19

Crystal structure
Cell lengths 5.4157, 5.4157, 7.8850 Å; angles 90.00, 90.00, 120.00 degrees
Space group P-3m1 (No. 164)
Asymmetric unit:
K  0.3333  0.6667  0.3067
Tm  0.0000  0.0000  0.0000
C  0.3333  0.6667  0.8485
O  0.1950  0.3900  0.8432

=====

Entry 4:
The following is a simulated X-ray powder pattern of KOs2C. It was derived from a PBE-relaxed structure, using λ = 1.5418 Å (Cu Kα).
Kinematic intensities with the Lorentz-polarization factor, no thermal factor.

Principal peaks in the range 2θ = 15–90°, by angle:
h k l	2θ (°)	intensity
1 0 1	17.4	100
2 1 1	33.6	95
2 0 2	35.1	91
2 2 0	40.7	23
3 0 1	44.6	28
3 2 1	53.8	25
4 0 0	59.0	39
4 1 1	62.0	14
4 2 2	70.5	24
2 0 6	70.7	12

Crystal structure
Cell lengths 6.265, 6.265, 8.837 Å; angles 90.00, 90.00, 90.00 degrees
Space group I4_1/amd (No. 141, origin choice 2)
Asymmetric unit:
K  0.000  0.250  0.375
Os  0.000  0.000  0.000
C  0.000  0.250  0.875

=====

Copy entry 2 word for word.
The following is a simulated X-ray powder pattern of KTl2C2O6. It was derived from a PBE-relaxed structure, using λ = 1.5418 Å (Cu Kα).
Kinematic intensities with the Lorentz-polarization factor, no thermal factor.

Principal peaks in the range 2θ = 15–90°, by angle:
h k l	2θ (°)	intensity
2 0 0	19.7	54
1 1 1	24.5	15
2 0 1	27.6	100
0 2 0	31.2	62
0 2 1	33.7	35
2 0 -3	34.6	17
2 2 0	37.2	26
4 0 -3	42.2	30
1 1 3	46.4	22
4 2 -3	53.4	15

Crystal structure
Cell lengths 9.921, 5.730, 7.836 Å; angles 90.00, 115.13, 90.00 degrees
Space group C2/m (No. 12)
Asymmetric unit:
K  0.000  0.000  0.000
Tl  0.205  0.000  0.613
C  0.080  0.500  0.740
O  0.015  0.305  0.740
O  0.210  0.500  0.738